Starting from a structure optimized by DFT (PBE+U), the X-ray powder pattern of BaYZn3CoO7 was simulated for Cu Ka.

Largest 12 diffraction maxima, low angle first, 5° ≤ 2θ ≤ 70°:
2θ 27.81, d 3.208, intensity 35, hkl 1 1 0
2θ 30.30, d 2.950, intensity 85, hkl 1 0 3
2θ 32.76, d 2.734, intensity 73, hkl 1 1 2
2θ 33.37, d 2.685, intensity 100, hkl 2 0 1
2θ 38.08, d 2.363, intensity 13, hkl 1 0 4
2θ 50.77, d 1.798, intensity 38, hkl 2 1 3
2θ 52.41, d 1.746, intensity 19, hkl 3 0 2
2θ 55.00, d 1.670, intensity 31, hkl 2 0 5
2θ 57.45, d 1.604, intensity 39, hkl 2 2 0
2θ 63.02, d 1.475, intensity 15, hkl 2 0 6
2θ 66.33, d 1.409, intensity 18, hkl 3 1 3
2θ 68.08, d 1.377, intensity 11, hkl 4 0 1

Cell and atoms:
Cell: 6.417 6.417 10.443 Å, 90.00 90.00 120.00°
Atoms (fractional coordinates):
1 Ba 0.333 0.667 0.000
2 Ba 0.667 0.333 0.500
3 Y 0.333 0.667 0.652
4 Y 0.667 0.333 0.152
5 Zn 0.170 0.341 0.337
6 Zn 0.170 0.830 0.337
7 Zn 0.341 0.170 0.837
8 Zn 0.659 0.830 0.337
9 Zn 0.830 0.170 0.837
10 Zn 0.830 0.659 0.837
11 Co 0.000 0.000 0.086
12 Co 0.000 0.000 0.586
13 O 0.000 0.000 0.269
14 O 0.000 0.000 0.769
15 O 0.016 0.508 0.787
16 O 0.160 0.320 0.529
17 O 0.160 0.840 0.529
18 O 0.320 0.160 0.029
19 O 0.492 0.508 0.787
20 O 0.492 0.984 0.787
21 O 0.508 0.016 0.287
22 O 0.508 0.492 0.287
23 O 0.680 0.840 0.529
24 O 0.840 0.160 0.029
25 O 0.840 0.680 0.029
26 O 0.984 0.492 0.287